Simulated powder XRD pattern of BaP2H2O8 for a wavelength of 1.5418 Å, from a PBE-relaxed structure.
Kinematic intensities with the Lorentz-polarization factor, no thermal factor.

Largest 6 diffraction maxima, by angle, 5 to 70 degrees two-theta:
- 2θ = 14.14°, I 100
- 2θ = 23.30°, I 52
- 2θ = 27.63°, I 64
- 2θ = 28.49°, I 38
- 2θ = 31.95°, I 39
- 2θ = 32.43°, I 43

Crystal structure
a = 7.745 Å, b = 10.657 Å, c = 8.774 Å
α = 90.00°, β = 90.00°, γ = 90.00°
Fractional coordinates of all 52 atoms:
1 Ba 0.250 0.250 0.099
2 Ba 0.250 0.250 0.599
3 Ba 0.750 0.750 0.401
4 Ba 0.750 0.750 0.901
5 P 0.068 0.572 0.210
6 P 0.068 0.928 0.710
7 P 0.432 0.572 0.710
8 P 0.432 0.928 0.210
9 P 0.568 0.072 0.790
10 P 0.568 0.428 0.290
11 P 0.932 0.072 0.290
12 P 0.932 0.428 0.790
13 H 0.175 0.611 0.445
14 H 0.175 0.889 0.945
15 H 0.325 0.611 0.945
16 H 0.325 0.889 0.445
17 H 0.675 0.111 0.555
18 H 0.675 0.389 0.055
19 H 0.825 0.111 0.055
20 H 0.825 0.389 0.555
21 O 0.043 0.070 0.743
22 O 0.043 0.430 0.243
23 O 0.086 0.140 0.358
24 O 0.086 0.360 0.858
25 O 0.095 0.646 0.367
26 O 0.095 0.854 0.867
27 O 0.232 0.567 0.111
28 O 0.232 0.933 0.611
29 O 0.268 0.567 0.611
30 O 0.268 0.933 0.111
31 O 0.405 0.646 0.867
32 O 0.405 0.854 0.367
33 O 0.414 0.140 0.858
34 O 0.414 0.360 0.358
35 O 0.457 0.070 0.243
36 O 0.457 0.430 0.743
37 O 0.543 0.570 0.257
38 O 0.543 0.930 0.757
39 O 0.586 0.640 0.642
40 O 0.586 0.860 0.142
41 O 0.595 0.146 0.633
42 O 0.595 0.354 0.133
43 O 0.732 0.067 0.889
44 O 0.732 0.433 0.389
45 O 0.768 0.067 0.389
46 O 0.768 0.433 0.889
47 O 0.905 0.146 0.133
48 O 0.905 0.354 0.633
49 O 0.914 0.640 0.142
50 O 0.914 0.860 0.642
51 O 0.957 0.570 0.757
52 O 0.957 0.930 0.257

=====

Simulated powder XRD pattern of Al2Se3 for a wavelength of 1.5418 Å, from a PBE-relaxed structure.
Kinematic intensities with the Lorentz-polarization factor, no thermal factor.

Largest 6 diffraction maxima, by angle, 5 to 70 degrees two-theta:
- 2θ = 25.87°, I 95
- 2θ = 28.01°, I 100
- 2θ = 29.21°, I 83
- 2θ = 29.62°, I 97
- 2θ = 29.74°, I 87
- 2θ = 45.82°, I 70

Crystal structure
a = 6.890 Å, b = 6.890 Å, c = 7.435 Å
α = 116.57°, β = 116.57°, γ = 59.58°
Fractional coordinates of all 10 atoms:
1 Al 0.064 0.936 0.500
2 Al 0.244 0.437 0.013
3 Al 0.437 0.244 0.513
4 Al 0.936 0.064 0.000
5 Se 0.048 0.228 0.386
6 Se 0.228 0.048 0.886
7 Se 0.385 0.558 0.398
8 Se 0.558 0.385 0.898
9 Se 0.709 0.888 0.370
10 Se 0.888 0.709 0.870

=====

Simulated powder XRD pattern of Zr6CoSb2 for a wavelength of 1.5418 Å, from a PBE-relaxed structure.
Kinematic intensities with the Lorentz-polarization factor, no thermal factor.

Largest 6 diffraction maxima, by angle, 5 to 70 degrees two-theta:
- 2θ = 33.70°, I 100
- 2θ = 34.97°, I 66
- 2θ = 36.27°, I 80
- 2θ = 39.83°, I 44
- 2θ = 43.21°, I 41
- 2θ = 62.78°, I 35

Crystal structure
a = 7.839 Å, b = 7.839 Å, c = 3.621 Å
α = 90.00°, β = 90.00°, γ = 120.00°
Fractional coordinates of all 9 atoms:
1 Zr 0.000 0.240 0.000
2 Zr 0.000 0.599 0.500
3 Zr 0.240 0.000 0.000
4 Zr 0.401 0.401 0.500
5 Zr 0.599 0.000 0.500
6 Zr 0.760 0.760 0.000
7 Co 0.000 0.000 0.500
8 Sb 0.333 0.667 0.000
9 Sb 0.667 0.333 0.000